Theoretical powder XRD pattern of Mg2MnV3S8 for CuKα, from a structure optimized by DFT (PBE).

The 12 most intense peaks (10 to 90 degrees two-theta), by angle:
Position (°2θ), I_rel
14.82, 149
15.01, 536
28.69, 177
28.90, 368
29.00, 148
35.00, 1000
46.00, 223
46.14, 125
50.07, 490
50.59, 474
62.99, 135
73.93, 129

Structure:
```
Mg2MnV3S8
1.0
3.6088 2.0835 5.9784
-3.6088 2.0835 5.9784
0.0000 -4.1670 5.9784
Mg Mn V S
2 1 3 8
direct
0.1260 0.1260 0.1260
0.8740 0.8740 0.8740
0.5000 0.5000 0.5000
0.0000 0.5000 0.5000
0.5000 0.0000 0.5000
0.5000 0.5000 0.0000
0.2615 0.2615 0.2615
0.2616 0.2616 0.7141
0.2616 0.7141 0.2616
0.2859 0.7384 0.7384
0.7140 0.2616 0.2616
0.7384 0.2860 0.7384
0.7384 0.7384 0.2860
0.7385 0.7385 0.7385
```